Structure and calculated XRD peak list of Li3AsO4 (a crystal structure in Alexandria, relaxed with GGA-PBE; Cu Kα (λ = 1.5418 Å)).
Kinematic intensities with the Lorentz-polarization factor, no thermal factor.

Atomic structure:
```
Li3AsO4
1.0
6.359 0.000 0.000
0.000 5.475 0.000
0.000 0.000 5.048
Li As O
6 2 8
direct
0.000 0.163 0.000
0.248 0.331 0.501
0.252 0.669 0.001
0.500 0.837 0.500
0.748 0.669 0.001
0.752 0.331 0.501
0.000 0.828 0.508
0.500 0.172 0.008
0.000 0.127 0.398
0.000 0.824 0.850
0.222 0.679 0.396
0.278 0.321 0.896
0.500 0.176 0.350
0.500 0.873 0.898
0.722 0.321 0.896
0.778 0.679 0.396
```

Peak list (6 most intense, 10° ≤ 2θ ≤ 90°, in order of falling intensity)
| d [Å] | 2theta | I/Imax |
| --- | --- | --- |
| 3.954 | 22.49 | 100 |
| 4.149 | 21.42 | 90 |
| 3.711 | 23.98 | 63 |
| 2.749 | 32.57 | 35 |
| 2.524 | 35.57 | 31 |
| 1.435 | 65.01 | 28 |